HgSb2Br2O3: calculated powder diffraction line list (λ = 1.5418 Å (Cu Kα)), based on a structure optimized by DFT (PBE).
Neutral-atom scattering factors, no anomalous dispersion.

Peak list (8 most intense, 10° ≤ 2θ ≤ 80°, sorted by position)
2θ/deg  Rel. int.
11.94  100
25.06  57
26.29  89
27.88  96
31.15  74
31.37  96
32.50  40
36.51  46

Crystal structure
abc: 5.875 7.581 8.377
angles: 88.13 83.46 77.92
Space group P-1 (No. 2)
One atom of each set of equivalent atoms:
Hg 0.008 0.497 0.230 (multiplicity 2)
Sb 0.425 0.712 0.468 (multiplicity 2)
Sb 0.446 0.714 0.033 (multiplicity 2)
Br 0.167 0.159 0.299 (multiplicity 2)
Br 0.226 0.141 0.796 (multiplicity 2)
O 0.284 0.505 0.973 (multiplicity 2)
O 0.292 0.495 0.559 (multiplicity 2)
O 0.317 0.662 0.258 (multiplicity 2)

=====

Rb3H2OsO6: calculated powder diffraction line list (λ = 1.5418 Å (Cu Kα)), based on a structure optimized by DFT (PBE).
Neutral-atom scattering factors, no anomalous dispersion.

Peak list (8 most intense, 10° ≤ 2θ ≤ 80°, sorted by position)
2θ/deg  Rel. int.
15.73  46
17.58  70
24.07  100
27.26  88
27.38  98
28.37  98
32.39  56
32.67  62

Crystal structure
abc: 6.549 9.410 6.692
angles: 90.00 116.72 90.00
Space group P2_1/m (No. 11)
One atom of each set of equivalent atoms:
Rb 0.005 0.250 0.084 (multiplicity 2)
Rb 0.244 0.569 0.509 (multiplicity 4)
H 0.288 0.026 0.987 (multiplicity 4)
Os 0.398 0.250 0.826 (multiplicity 2)
O 0.165 0.250 0.544 (multiplicity 2)
O 0.186 0.082 0.854 (multiplicity 4)
O 0.422 0.610 0.206 (multiplicity 4)
O 0.484 0.750 0.875 (multiplicity 2)

=====

- Which formula does entry 2 have?
  Rb3H2OsO6